[1]
This entry pairs a crystal structure of TaCu2Pd4 with its theoretical X-ray diffraction stick pattern. Radiation: Cu Kα (λ = 1.5418 Å). Structure: a crystal structure in Alexandria, relaxed with GGA-PBE.
Lines closer than 0.1° are merged.

Crystal structure
```
data_TaCu2Pd4
_space_group_name_H-M_alt 'P 1'
_space_group_IT_number 1
_cell_length_a 5.701
_cell_length_b 9.230
_cell_length_c 4.077
_cell_angle_alpha 90.00
_cell_angle_beta 90.00
_cell_angle_gamma 90.00
loop_
_space_group_symop_operation_xyz
'x,y,z'
loop_
_atom_site_label
_atom_site_type_symbol
_atom_site_fract_x
_atom_site_fract_y
_atom_site_fract_z
Ta1 Ta 0.000 0.000 0.000
Ta2 Ta 0.500 0.500 0.000
Cu1 Cu 0.193 0.454 0.500
Cu2 Cu 0.307 0.954 0.500
Cu3 Cu 0.693 0.046 0.500
Cu4 Cu 0.807 0.546 0.500
Pd1 Pd 0.075 0.190 0.500
Pd2 Pd 0.093 0.640 0.000
Pd3 Pd 0.407 0.140 0.000
Pd4 Pd 0.425 0.690 0.500
Pd5 Pd 0.575 0.310 0.500
Pd6 Pd 0.593 0.860 0.000
Pd7 Pd 0.907 0.360 0.000
Pd8 Pd 0.925 0.810 0.500
```

The 10 most intense peaks (2θ = 10–90°), in order of falling intensity:
| Position (°2θ) | d [Å] | I/Imax |
| --- | --- | --- |
| 39.97 | 2.255 | 100 |
| 39.81 | 2.265 | 40 |
| 44.45 | 2.038 | 35 |
| 43.42 | 2.084 | 32 |
| 52.06 | 1.757 | 25 |
| 70.80 | 1.331 | 24 |
| 31.38 | 2.850 | 13 |
| 78.81 | 1.214 | 13 |
| 29.23 | 3.055 | 13 |
| 48.93 | 1.861 | 11 |


[2]
This entry pairs a crystal structure of TbCu2Pd9 with its theoretical X-ray diffraction stick pattern. Radiation: Cu Kα (λ = 1.5418 Å). Structure: a crystal structure in Alexandria, relaxed with GGA-PBE.
Lines closer than 0.1° are merged.

Crystal structure
```
data_TbCu2Pd9
_space_group_name_H-M_alt 'P 1'
_space_group_IT_number 1
_cell_length_a 4.013
_cell_length_b 4.013
_cell_length_c 11.715
_cell_angle_alpha 90.00
_cell_angle_beta 90.00
_cell_angle_gamma 90.00
loop_
_space_group_symop_operation_xyz
'x,y,z'
loop_
_atom_site_label
_atom_site_type_symbol
_atom_site_fract_x
_atom_site_fract_y
_atom_site_fract_z
Tb1 Tb 0.000 0.000 0.000
Cu1 Cu 0.000 0.000 0.343
Cu2 Cu 0.000 0.000 0.657
Pd1 Pd 0.000 0.500 0.182
Pd2 Pd 0.000 0.500 0.500
Pd3 Pd 0.000 0.500 0.818
Pd4 Pd 0.500 0.000 0.182
Pd5 Pd 0.500 0.000 0.500
Pd6 Pd 0.500 0.000 0.818
Pd7 Pd 0.500 0.500 0.000
Pd8 Pd 0.500 0.500 0.341
Pd9 Pd 0.500 0.500 0.659
```

The 10 most intense peaks (2θ = 10–90°), in order of falling intensity:
| Position (°2θ) | d [Å] | I/Imax |
| --- | --- | --- |
| 39.25 | 2.296 | 100 |
| 45.19 | 2.006 | 34 |
| 79.40 | 1.207 | 24 |
| 66.86 | 1.399 | 18 |
| 46.51 | 1.953 | 14 |
| 65.83 | 1.419 | 11 |
| 84.39 | 1.148 | 9 |
| 81.32 | 1.183 | 9 |
| 35.14 | 2.554 | 3 |
| 23.43 | 3.796 | 2 |


[3]
This entry pairs a crystal structure of TbCuPd3 with its theoretical X-ray diffraction stick pattern. Radiation: Cu Kα (λ = 1.5418 Å). Structure: a crystal structure in Alexandria, relaxed with GGA-PBE.
Lines closer than 0.1° are merged.

Crystal structure
```
data_TbCuPd3
_space_group_name_H-M_alt 'P 1'
_space_group_IT_number 1
_cell_length_a 4.440
_cell_length_b 6.194
_cell_length_c 6.434
_cell_angle_alpha 90.00
_cell_angle_beta 90.00
_cell_angle_gamma 90.00
loop_
_space_group_symop_operation_xyz
'x,y,z'
loop_
_atom_site_label
_atom_site_type_symbol
_atom_site_fract_x
_atom_site_fract_y
_atom_site_fract_z
Tb1 Tb 0.250 0.250 0.224
Tb2 Tb 0.750 0.750 0.776
Cu1 Cu 0.250 0.750 0.439
Cu2 Cu 0.750 0.250 0.561
Pd1 Pd 0.250 0.040 0.717
Pd2 Pd 0.250 0.460 0.717
Pd3 Pd 0.250 0.750 0.059
Pd4 Pd 0.750 0.250 0.941
Pd5 Pd 0.750 0.540 0.283
Pd6 Pd 0.750 0.960 0.283
```

The 10 most intense peaks (2θ = 10–90°), in order of falling intensity:
| Position (°2θ) | d [Å] | I/Imax |
| --- | --- | --- |
| 38.09 | 2.363 | 100 |
| 37.45 | 2.401 | 68 |
| 40.64 | 2.220 | 38 |
| 27.73 | 3.217 | 17 |
| 72.26 | 1.307 | 15 |
| 77.20 | 1.236 | 14 |
| 44.72 | 2.027 | 12 |
| 62.44 | 1.487 | 12 |
| 87.11 | 1.119 | 12 |
| 34.43 | 2.605 | 11 |


[4]
This entry pairs a crystal structure of Tb3Cu3Pd with its theoretical X-ray diffraction stick pattern. Radiation: Cu Kα (λ = 1.5418 Å). Structure: a crystal structure in Alexandria, relaxed with GGA-PBE.
Lines closer than 0.1° are merged.

Crystal structure
```
data_Tb3Cu3Pd
_space_group_name_H-M_alt 'P 1'
_space_group_IT_number 1
_cell_length_a 5.467
_cell_length_b 5.467
_cell_length_c 14.342
_cell_angle_alpha 90.00
_cell_angle_beta 90.00
_cell_angle_gamma 137.94
loop_
_space_group_symop_operation_xyz
'x,y,z'
loop_
_atom_site_label
_atom_site_type_symbol
_atom_site_fract_x
_atom_site_fract_y
_atom_site_fract_z
Tb1 Tb 0.048 0.952 0.750
Tb2 Tb 0.330 0.670 0.595
Tb3 Tb 0.330 0.670 0.905
Tb4 Tb 0.670 0.330 0.095
Tb5 Tb 0.670 0.330 0.405
Tb6 Tb 0.952 0.048 0.250
Cu1 Cu 0.243 0.757 0.250
Cu2 Cu 0.386 0.614 0.104
Cu3 Cu 0.386 0.614 0.396
Cu4 Cu 0.614 0.386 0.604
Cu5 Cu 0.614 0.386 0.896
Cu6 Cu 0.757 0.243 0.750
Pd1 Pd 0.000 0.000 0.000
Pd2 Pd 0.000 0.000 0.500
```

The 10 most intense peaks (2θ = 10–90°), in order of falling intensity:
| Position (°2θ) | d [Å] | I/Imax |
| --- | --- | --- |
| 35.02 | 2.562 | 100 |
| 34.91 | 2.570 | 81 |
| 39.82 | 2.264 | 34 |
| 46.27 | 1.962 | 33 |
| 30.75 | 2.907 | 29 |
| 35.75 | 2.512 | 26 |
| 30.47 | 2.934 | 26 |
| 43.54 | 2.079 | 25 |
| 37.63 | 2.390 | 24 |
| 25.53 | 3.489 | 24 |


[5]
This entry pairs a crystal structure of TbCu6Pd with its theoretical X-ray diffraction stick pattern. Radiation: Cu Kα (λ = 1.5418 Å). Structure: a crystal structure in Alexandria, relaxed with GGA-PBE.
Lines closer than 0.1° are merged.

Crystal structure
```
data_TbCu6Pd
_space_group_name_H-M_alt 'P 1'
_space_group_IT_number 1
_cell_length_a 4.899
_cell_length_b 4.899
_cell_length_c 4.899
_cell_angle_alpha 90.00
_cell_angle_beta 90.00
_cell_angle_gamma 90.00
loop_
_space_group_symop_operation_xyz
'x,y,z'
loop_
_atom_site_label
_atom_site_type_symbol
_atom_site_fract_x
_atom_site_fract_y
_atom_site_fract_z
Tb1 Tb 0.000 0.000 0.000
Cu1 Cu 0.000 0.500 0.259
Cu2 Cu 0.000 0.500 0.741
Cu3 Cu 0.259 0.000 0.500
Cu4 Cu 0.500 0.259 0.000
Cu5 Cu 0.500 0.741 0.000
Cu6 Cu 0.741 0.000 0.500
Pd1 Pd 0.500 0.500 0.500
```

The 10 most intense peaks (2θ = 10–90°), in order of falling intensity:
| Position (°2θ) | d [Å] | I/Imax |
| --- | --- | --- |
| 45.35 | 2.000 | 100 |
| 41.20 | 2.191 | 63 |
| 72.15 | 1.309 | 48 |
| 36.69 | 2.449 | 46 |
| 25.72 | 3.464 | 23 |
| 89.46 | 1.095 | 14 |
| 78.02 | 1.225 | 13 |
| 69.14 | 1.359 | 13 |
| 59.69 | 1.549 | 5 |
| 52.86 | 1.732 | 3 |


[6]
This entry pairs a crystal structure of TbZn5Cu2Pd with its theoretical X-ray diffraction stick pattern. Radiation: Cu Kα (λ = 1.5418 Å). Structure: a crystal structure in Alexandria, relaxed with GGA-PBE.
Lines closer than 0.1° are merged.

Crystal structure
```
data_TbZn5Cu2Pd
_space_group_name_H-M_alt 'P 1'
_space_group_IT_number 1
_cell_length_a 4.651
_cell_length_b 4.651
_cell_length_c 7.004
_cell_angle_alpha 90.00
_cell_angle_beta 90.00
_cell_angle_gamma 90.00
loop_
_space_group_symop_operation_xyz
'x,y,z'
loop_
_atom_site_label
_atom_site_type_symbol
_atom_site_fract_x
_atom_site_fract_y
_atom_site_fract_z
Tb1 Tb 0.000 0.000 0.000
Zn1 Zn 0.000 0.500 0.294
Zn2 Zn 0.000 0.500 0.706
Zn3 Zn 0.500 0.000 0.294
Zn4 Zn 0.500 0.000 0.706
Zn5 Zn 0.500 0.500 0.000
Cu1 Cu 0.500 0.500 0.335
Cu2 Cu 0.500 0.500 0.665
Pd1 Pd 0.000 0.000 0.500
```

The 10 most intense peaks (2θ = 10–90°), in order of falling intensity:
| Position (°2θ) | d [Å] | I/Imax |
| --- | --- | --- |
| 38.72 | 2.326 | 100 |
| 37.52 | 2.397 | 100 |
| 31.99 | 2.798 | 39 |
| 55.91 | 1.644 | 33 |
| 69.29 | 1.356 | 31 |
| 55.80 | 1.648 | 25 |
| 51.07 | 1.788 | 21 |
| 38.56 | 2.335 | 19 |
| 27.11 | 3.289 | 16 |
| 69.98 | 1.344 | 12 |


Question: Number 5 is which compound?
Answer: TbCu6Pd